[1]
Sm3CdIn: theoretical powder diffraction line list (Cu Kα X-rays), based on the PBE geometry in Alexandria.
Peak positions follow from Bragg's law for the DFT cell and can differ from measured ones.

Principal peaks in the range 2θ from 10° to 90°, sorted by position:
| d (Å) | 2θ (°) | intensity |
| --- | --- | --- |
| 2.871 | 31.15 | 18 |
| 2.819 | 31.75 | 100 |
| 2.745 | 32.62 | 52 |
| 2.740 | 32.69 | 13 |
| 2.671 | 33.55 | 46 |
| 2.574 | 34.85 | 30 |
| 2.471 | 36.36 | 49 |
| 1.763 | 51.86 | 12 |
| 1.684 | 54.50 | 28 |
| 1.583 | 58.28 | 12 |

Structural model:
```
Sm3CdIn
1.0
6.547 -5.052 0.000
6.547 5.052 0.000
-5.779 0.000 8.728
Sm Cd In
12 4 4
Direct
0.034 0.354 0.567
0.060 0.744 0.916
0.256 0.940 0.584
0.306 0.349 0.924
0.349 0.306 0.424
0.354 0.034 0.067
0.646 0.966 0.933
0.651 0.694 0.576
0.694 0.651 0.076
0.744 0.060 0.416
0.940 0.256 0.084
0.966 0.646 0.433
0.197 0.568 0.229
0.432 0.803 0.271
0.568 0.197 0.729
0.803 0.432 0.771
0.026 0.974 0.250
0.363 0.637 0.750
0.637 0.363 0.250
0.974 0.026 0.750
```


[2]
PPb2O: theoretical powder diffraction line list (Cu Kα X-rays), based on the PBE geometry in Alexandria.
Peak positions follow from Bragg's law for the DFT cell and can differ from measured ones.

Principal peaks in the range 2θ from 10° to 90°, sorted by position:
| d (Å) | 2θ (°) | intensity |
| --- | --- | --- |
| 3.468 | 25.68 | 100 |
| 3.107 | 28.73 | 16 |
| 2.956 | 30.24 | 22 |
| 2.586 | 34.69 | 14 |
| 2.229 | 40.48 | 8 |
| 2.142 | 42.20 | 31 |
| 2.090 | 43.29 | 11 |
| 1.856 | 49.08 | 18 |
| 1.790 | 51.02 | 20 |
| 1.388 | 67.49 | 9 |

Structural model:
```
PPb2O
1.0
-2.956 2.956 6.215
2.956 -2.956 6.215
2.956 2.956 -6.215
P Pb O
2 4 2
Direct
0.000 0.000 0.000
0.750 0.250 0.500
0.179 0.625 0.054
0.375 0.429 0.554
0.571 0.125 0.946
0.875 0.821 0.446
0.250 0.750 0.500
0.500 0.500 0.000
```


[3]
NaMnH3: theoretical powder diffraction line list (Cu Kα X-rays), based on the PBE geometry in Alexandria.
Peak positions follow from Bragg's law for the DFT cell and can differ from measured ones.

Principal peaks in the range 2θ from 10° to 90°, sorted by position:
| d (Å) | 2θ (°) | intensity |
| --- | --- | --- |
| 4.936 | 17.97 | 74 |
| 3.608 | 24.67 | 31 |
| 2.757 | 32.47 | 65 |
| 2.407 | 37.36 | 39 |
| 2.386 | 37.70 | 100 |
| 2.148 | 42.06 | 43 |
| 1.804 | 50.59 | 18 |
| 1.715 | 53.41 | 22 |
| 1.439 | 64.79 | 15 |
| 1.354 | 69.38 | 29 |

Structural model:
```
NaMnH3
1.0
4.132 -2.386 0.000
4.132 2.386 0.000
-2.761 0.000 4.936
Na Mn H
2 2 6
Direct
0.113 0.113 0.337
0.887 0.887 0.663
0.334 0.334 0.002
0.666 0.666 0.998
0.070 0.577 0.222
0.423 0.930 0.778
0.424 0.424 0.778
0.576 0.576 0.222
0.577 0.070 0.222
0.930 0.423 0.778
```


[4]
RePd3Pt6: theoretical powder diffraction line list (Cu Kα X-rays), based on the PBE geometry in Alexandria.
Peak positions follow from Bragg's law for the DFT cell and can differ from measured ones.

Principal peaks in the range 2θ from 10° to 90°, sorted by position:
| d (Å) | 2θ (°) | intensity |
| --- | --- | --- |
| 7.636 | 11.59 | 18 |
| 2.305 | 39.09 | 100 |
| 2.291 | 39.33 | 57 |
| 2.227 | 40.51 | 48 |
| 2.138 | 42.27 | 24 |
| 2.042 | 44.35 | 50 |
| 1.944 | 46.72 | 51 |
| 1.424 | 65.56 | 25 |
| 1.396 | 67.06 | 36 |
| 1.192 | 80.60 | 43 |

Structural model:
```
RePd3Pt6
1.0
2.791 0.000 0.000
-1.396 2.417 0.000
0.000 0.000 22.909
Re Pd Pt
1 3 6
Direct
0.000 0.000 0.000
0.000 0.000 0.198
0.000 0.000 0.500
0.000 0.000 0.802
0.333 0.667 0.298
0.333 0.667 0.600
0.333 0.667 0.904
0.667 0.333 0.096
0.667 0.333 0.400
0.667 0.333 0.702
```


[5]
HoPdAu3: theoretical powder diffraction line list (Cu Kα X-rays), based on the PBE geometry in Alexandria.
Peak positions follow from Bragg's law for the DFT cell and can differ from measured ones.

Principal peaks in the range 2θ from 10° to 90°, sorted by position:
| d (Å) | 2θ (°) | intensity |
| --- | --- | --- |
| 4.668 | 19.01 | 13 |
| 2.607 | 34.40 | 53 |
| 2.480 | 36.23 | 60 |
| 2.415 | 37.23 | 99 |
| 2.162 | 41.78 | 100 |
| 1.797 | 50.82 | 35 |
| 1.473 | 63.12 | 17 |
| 1.362 | 68.96 | 23 |
| 1.224 | 78.07 | 13 |
| 1.216 | 78.68 | 22 |

Structural model:
```
HoPdAu3
1.0
4.959 0.000 0.000
0.000 5.630 0.000
-2.467 0.000 6.913
Ho Pd Au
2 2 6
Direct
0.104 0.250 0.206
0.896 0.750 0.794
0.125 0.750 0.251
0.875 0.250 0.749
0.308 0.501 0.616
0.308 0.999 0.616
0.488 0.250 0.972
0.512 0.750 0.028
0.692 0.001 0.384
0.692 0.499 0.384
```


[6]
YScIrO6: theoretical powder diffraction line list (Cu Kα X-rays), based on the PBE geometry in Alexandria.
Peak positions follow from Bragg's law for the DFT cell and can differ from measured ones.

Principal peaks in the range 2θ from 10° to 90°, sorted by position:
| d (Å) | 2θ (°) | intensity |
| --- | --- | --- |
| 4.879 | 18.18 | 24 |
| 4.147 | 21.43 | 64 |
| 3.340 | 26.69 | 100 |
| 2.647 | 33.87 | 64 |
| 2.325 | 38.73 | 21 |
| 2.073 | 43.66 | 25 |
| 1.793 | 50.92 | 56 |
| 1.632 | 56.39 | 24 |
| 1.527 | 60.63 | 26 |
| 1.295 | 73.09 | 14 |

Structural model:
```
YScIrO6
1.0
5.290 0.000 0.000
-2.645 4.581 0.000
0.000 0.000 9.758
Y Sc Ir O
2 2 2 12
Direct
0.000 0.000 0.000
0.000 0.000 0.500
0.333 0.667 0.250
0.667 0.333 0.750
0.333 0.667 0.750
0.667 0.333 0.250
0.022 0.365 0.638
0.022 0.658 0.862
0.342 0.365 0.862
0.342 0.978 0.638
0.365 0.022 0.138
0.365 0.342 0.362
0.635 0.658 0.638
0.635 0.978 0.862
0.658 0.022 0.362
0.658 0.635 0.138
0.978 0.342 0.138
0.978 0.635 0.362
```


[7]
Nd2Zn7Rh: theoretical powder diffraction line list (Cu Kα X-rays), based on the PBE geometry in Alexandria.
Peak positions follow from Bragg's law for the DFT cell and can differ from measured ones.

Principal peaks in the range 2θ from 10° to 90°, sorted by position:
| d (Å) | 2θ (°) | intensity |
| --- | --- | --- |
| 2.708 | 33.08 | 58 |
| 2.605 | 34.43 | 100 |
| 2.117 | 42.71 | 54 |
| 1.891 | 48.12 | 27 |
| 1.668 | 55.06 | 27 |
| 1.518 | 61.05 | 12 |
| 1.497 | 61.99 | 18 |
| 1.410 | 66.28 | 20 |
| 1.298 | 72.88 | 21 |
| 1.121 | 86.94 | 12 |

Structural model:
```
Nd2Zn7Rh
1.0
4.234 0.000 0.000
0.000 4.234 0.000
0.000 0.000 10.566
Nd Zn Rh
2 7 1
Direct
0.000 0.500 0.244
0.500 0.000 0.756
0.000 0.000 0.000
0.000 0.000 0.500
0.000 0.500 0.633
0.000 0.500 0.867
0.500 0.000 0.133
0.500 0.000 0.367
0.500 0.500 0.500
0.500 0.500 0.000
```


[8]
Pm9Y4Pu: theoretical powder diffraction line list (Cu Kα X-rays), based on the PBE geometry in Alexandria.
Peak positions follow from Bragg's law for the DFT cell and can differ from measured ones.

Principal peaks in the range 2θ from 10° to 90°, sorted by position:
| d (Å) | 2θ (°) | intensity |
| --- | --- | --- |
| 3.409 | 26.14 | 18 |
| 3.112 | 28.69 | 13 |
| 2.820 | 31.73 | 57 |
| 2.807 | 31.88 | 100 |
| 2.768 | 32.34 | 32 |
| 2.473 | 36.33 | 15 |
| 1.769 | 51.69 | 24 |
| 1.649 | 55.76 | 17 |
| 1.639 | 56.11 | 20 |
| 1.423 | 65.61 | 22 |

Structural model:
```
Pm9Y4Pu
1.0
9.891 0.000 0.000
-4.946 8.566 0.000
0.000 0.000 11.263
Pm Y Pu
18 8 2
Direct
0.072 0.536 0.250
0.209 0.419 0.535
0.209 0.419 0.965
0.209 0.791 0.535
0.209 0.791 0.965
0.419 0.209 0.035
0.419 0.209 0.465
0.464 0.536 0.250
0.464 0.928 0.250
0.536 0.072 0.750
0.536 0.464 0.750
0.581 0.791 0.535
0.581 0.791 0.965
0.791 0.209 0.035
0.791 0.209 0.465
0.791 0.581 0.035
0.791 0.581 0.465
0.928 0.464 0.750
0.000 0.000 0.000
0.000 0.000 0.500
0.112 0.224 0.250
0.112 0.888 0.250
0.224 0.112 0.750
0.776 0.888 0.250
0.888 0.112 0.750
0.888 0.776 0.750
0.333 0.667 0.750
0.667 0.333 0.250
```